No. 1
Theoretical powder diffractogram of HgPF for Cu Kα (weighted mean of Kα1 and Kα2), from a crystal structure in Alexandria, relaxed with GGA-PBE.
No peak broadening, texture or thermal motion is included.

```
6
Lattice="4.738 -2.027 0.000 4.738 2.027 0.000 -3.989 0.000 8.243" Properties=species:S:1:pos:R:3 pbc="T T T"
Hg 0.000 0.000 0.000
Hg 4.519 0.000 2.366
P -1.643 0.000 6.425
P 2.844 0.000 7.438
F -0.346 0.000 5.459
F 6.766 0.000 5.221
```

Main lines, in order of rising 2θ (10 to 80 degrees two-theta):
2θ (°)  I_rel
10.7  100.0
18.8  80.8
20.8  71.3
28.5  95.0
29.4  92.0
37.0  60.4

No. 2
Theoretical powder diffractogram of Er2ThPt2 for Cu Kα (weighted mean of Kα1 and Kα2), from a crystal structure in Alexandria, relaxed with GGA-PBE.
No peak broadening, texture or thermal motion is included.

```
10
Lattice="1.915 -13.631 0.000 1.915 13.631 0.000 0.000 0.000 4.671" Properties=species:S:1:pos:R:3 pbc="T T T"
Er 1.915 12.270 3.503
Er 1.915 6.434 1.168
Er 1.915 -6.434 3.503
Er 1.915 -12.270 1.168
Th 1.915 3.747 3.503
Th 1.915 -3.747 1.168
Pt 1.915 9.321 3.503
Pt 1.915 0.923 3.503
Pt 1.915 -0.923 1.168
Pt 1.915 -9.321 1.168
```

Main lines, in order of rising 2θ (10 to 80 degrees two-theta):
2θ (°)  I_rel
30.4  24.0
31.8  100.0
32.9  37.1
38.2  63.3
38.5  42.6
42.7  26.8

No. 3
Theoretical powder diffractogram of HoTm4Cd3 for Cu Kα (weighted mean of Kα1 and Kα2), from a crystal structure in Alexandria, relaxed with GGA-PBE.
No peak broadening, texture or thermal motion is included.

```
8
Lattice="2.638 1.523 8.880 -2.638 1.523 8.880 0.000 -3.046 8.880" Properties=species:S:1:pos:R:3 pbc="T T T"
Ho 0.000 0.000 0.000
Tm 0.000 0.000 3.450
Tm 0.000 0.000 10.287
Tm 0.000 0.000 16.353
Tm 0.000 0.000 23.190
Cd 0.000 0.000 6.918
Cd 0.000 0.000 13.320
Cd 0.000 0.000 19.722
```

Main lines, in order of rising 2θ (10 to 80 degrees two-theta):
2θ (°)  I_rel
33.3  90.7
34.0  100.0
48.3  31.8
60.4  32.4
60.8  18.5
71.5  11.5

No. 4
Theoretical powder diffractogram of K2TmCu3F12 for Cu Kα (weighted mean of Kα1 and Kα2), from a crystal structure in Alexandria, relaxed with GGA-PBE.
No peak broadening, texture or thermal motion is included.

```
18
Lattice="3.705 2.139 6.014 -3.705 2.139 6.014 0.000 -4.278 6.014" Properties=species:S:1:pos:R:3 pbc="T T T"
K 0.000 0.000 2.062
K 0.000 0.000 15.981
Tm 0.000 0.000 9.022
Cu -1.852 -1.070 6.014
Cu -1.852 1.070 12.029
Cu 0.000 2.139 6.014
F -1.647 -0.951 8.005
F 0.000 -1.680 5.850
F -1.455 0.840 5.850
F 0.000 -1.901 10.038
F -1.647 0.951 10.038
F -1.455 -0.840 12.193
F 1.455 0.840 5.850
F 1.647 -0.951 8.005
F 0.000 1.901 8.005
F 1.455 -0.840 12.193
F 0.000 1.680 12.193
F 1.647 0.951 10.038
```

Main lines, in order of rising 2θ (10 to 80 degrees two-theta):
2θ (°)  I_rel
14.7  100.0
28.3  75.9
28.4  37.6
29.5  49.4
45.0  32.5
49.2  31.2

No. 5
Theoretical powder diffractogram of Th2ScMn for Cu Kα (weighted mean of Kα1 and Kα2), from a crystal structure in Alexandria, relaxed with GGA-PBE.
No peak broadening, texture or thermal motion is included.

```
4
Lattice="3.589 0.000 0.000 0.000 3.589 0.000 0.000 0.000 7.975" Properties=species:S:1:pos:R:3 pbc="T T T"
Th 0.000 0.000 1.741
Th 0.000 0.000 6.235
Sc 1.794 1.794 3.988
Mn 1.794 1.794 0.000
```

Main lines, in order of rising 2θ (10 to 80 degrees two-theta):
2θ (°)  I_rel
22.3  24.6
24.8  47.5
33.6  100.0
35.4  49.7
42.3  34.3
62.4  37.6

No. 6
Theoretical powder diffractogram of Pm2Tm5Th2 for Cu Kα (weighted mean of Kα1 and Kα2), from a crystal structure in Alexandria, relaxed with GGA-PBE.
No peak broadening, texture or thermal motion is included.

```
9
Lattice="11.084 -1.732 0.000 11.084 1.732 0.000 -1.274 0.000 7.968" Properties=species:S:1:pos:R:3 pbc="T T T"
Pm 3.716 0.000 1.188
Pm 17.178 0.000 6.780
Tm 0.000 0.000 0.000
Tm 1.103 0.000 5.795
Tm 6.241 0.000 3.646
Tm 14.652 0.000 4.322
Tm 19.790 0.000 2.173
Th 9.109 0.000 5.175
Th 11.785 0.000 2.793
```

Main lines, in order of rising 2θ (10 to 80 degrees two-theta):
2θ (°)  I_rel
29.7  59.7
30.0  59.9
32.9  53.5
33.4  44.1
35.2  82.9
35.9  100.0

- What is the formula in the first record?
  HgPF